Structure and calculated powder diffractogram of ScNbSn2Pt2 (a cell relaxed with GGA-PBE; Cu Kα).
Lines closer than 0.1° are merged.

Top 10 peaks for 10 to 80 degrees two-theta, low angle first:
2θ = 17.2°, d = 5.160 Å, rel. 1, (0 1 1); 2θ = 24.4°, d = 3.648 Å, rel. 66, (1 0 1); 2θ = 40.4°, d = 2.234 Å, rel. 100, (2 0 0); 2θ = 47.7°, d = 1.905 Å, rel. 33, (2 2 1); 2θ = 58.4°, d = 1.580 Å, rel. 17, (2 4 0); 2θ = 64.3°, d = 1.450 Å, rel. 11, (2 2 3); 2θ = 64.3°, d = 1.448 Å, rel. 2, (3 0 1); 2θ = 73.4°, d = 1.290 Å, rel. 34, (3 2 2); 2θ = 78.7°, d = 1.216 Å, rel. 9, (3 4 1); 2θ = 78.7°, d = 1.215 Å, rel. 1, (3 0 3)

Cell and atoms:
a = 4.464 Å, b = 8.943 Å, c = 6.318 Å
α = 90.00°, β = 90.00°, γ = 90.00°
Sites, in units of the cell vectors:
Sc  0.000  0.123  0.000
Sc  0.500  0.877  0.500
Nb  0.000  0.626  0.006
Nb  0.500  0.374  0.506
Sn  0.000  0.122  0.495
Sn  0.000  0.629  0.511
Sn  0.500  0.371  0.011
Sn  0.500  0.878  0.995
Pt  0.000  0.383  0.263
Pt  0.000  0.866  0.244
Pt  0.500  0.134  0.744
Pt  0.500  0.617  0.763

***

Structure and calculated powder diffractogram of HoAg6Sn (a cell relaxed with GGA-PBE; Cu Kα).
Lines closer than 0.1° are merged.

Top 10 peaks for 10 to 80 degrees two-theta, low angle first:
2θ = 34.5°, d = 2.603 Å, rel. 28, (0 2 1); 2θ = 36.1°, d = 2.490 Å, rel. 44, (2 0 0); 2θ = 38.8°, d = 2.320 Å, rel. 57, (1 0 2); 2θ = 39.0°, d = 2.307 Å, rel. 100, (1 2 1); 2θ = 50.7°, d = 1.799 Å, rel. 18, (2 2 1); 2θ = 61.4°, d = 1.510 Å, rel. 17, (0 2 3); 2θ = 66.7°, d = 1.402 Å, rel. 11, (3 0 2); 2θ = 66.9°, d = 1.399 Å, rel. 20, (3 2 1); 2θ = 73.3°, d = 1.291 Å, rel. 20, (2 2 3); 2θ = 75.5°, d = 1.259 Å, rel. 15, (1 4 2)

Cell and atoms:
a = 4.979 Å, b = 5.997 Å, c = 5.244 Å
α = 90.00°, β = 90.00°, γ = 90.00°
Sites, in units of the cell vectors:
Ho  0.000  0.000  0.000
Ag  0.000  0.255  0.500
Ag  0.000  0.500  0.014
Ag  0.000  0.745  0.500
Ag  0.500  0.000  0.662
Ag  0.500  0.250  0.184
Ag  0.500  0.750  0.184
Sn  0.500  0.500  0.694